1.
Structure and calculated powder diffractogram of Pt3I8 (a structure optimized by DFT (GGA-PBE); Cu Kα (λ = 1.5418 Å)).
Kinematic intensities with the Lorentz-polarization factor, no thermal factor.

Crystal structure
```
data_Pt3I8
_chemical_formula_sum 'Pt12 I32'
_space_group_name_H-M_alt 'P 41 21 2'
_space_group_IT_number 92
_space_group_name_Hall 'P 4abw 2nw'
_cell_length_a 11.8953
_cell_length_b 11.8953
_cell_length_c 11.1529
_cell_angle_alpha 90.00
_cell_angle_beta 90.00
_cell_angle_gamma 90.00
loop_
_atom_site_label
_atom_site_fract_x
_atom_site_fract_y
_atom_site_fract_z
_atom_site_occupancy
Pt1 0.1204 0.3700 0.2646 1
Pt2 0.1222 0.1222 0.5000 1
I1 0.0936 0.3774 0.0283 1
I2 0.1081 0.8771 0.0233 1
I3 0.1144 0.1472 0.2619 1
I4 0.1265 0.3539 0.4995 1
```

Principal peaks in the range 2θ from 15° to 90°, by angle:
- 2θ = 16.89°, intensity 86, hkl 2 0 1
- 2θ = 26.55°, intensity 17, hkl 2 2 2
- 2θ = 30.05°, intensity 100, hkl 4 0 0
- 2θ = 32.10°, intensity 44, hkl 0 0 4
- 2θ = 34.67°, intensity 22, hkl 4 2 1
- 2θ = 43.01°, intensity 33, hkl 4 4 0
- 2θ = 43.32°, intensity 17, hkl 2 0 5
- 2θ = 44.55°, intensity 57, hkl 4 0 4
- 2θ = 54.67°, intensity 28, hkl 4 4 4
- 2θ = 79.91°, intensity 15, hkl 8 4 4

2.
Structure and calculated powder diffractogram of PtI (a structure optimized by DFT (GGA-PBE); Cu Kα (λ = 1.5418 Å)).
Kinematic intensities with the Lorentz-polarization factor, no thermal factor.

Crystal structure
```
data_PtI
_chemical_formula_sum 'Pt6 I6'
_space_group_name_H-M_alt 'P 63/m'
_space_group_IT_number 176
_space_group_name_Hall '-P 6c'
_cell_length_a 10.2203
_cell_length_b 10.2203
_cell_length_c 4.0188
_cell_angle_alpha 90.00
_cell_angle_beta 90.00
_cell_angle_gamma 120.00
loop_
_atom_site_label
_atom_site_fract_x
_atom_site_fract_y
_atom_site_fract_z
_atom_site_occupancy
Pt1 0.0601 0.4608 0.2500 1
I1 0.1900 0.3935 0.7500 1
```

Principal peaks in the range 2θ from 15° to 90°, by angle:
- 2θ = 17.35°, intensity 86, hkl 1 1 0
- 2θ = 20.06°, intensity 36, hkl 2 0 0
- 2θ = 26.65°, intensity 64, hkl 1 2 0
- 2θ = 28.25°, intensity 56, hkl 1 1 1
- 2θ = 30.04°, intensity 39, hkl 2 0 1
- 2θ = 34.90°, intensity 100, hkl 2 1 1
- 2θ = 37.83°, intensity 84, hkl 3 0 1
- 2θ = 43.18°, intensity 62, hkl 1 3 1
- 2θ = 46.87°, intensity 36, hkl 4 0 1
- 2θ = 52.57°, intensity 51, hkl 4 1 1

3.
Structure and calculated powder diffractogram of PtI5 (a structure optimized by DFT (GGA-PBE); Cu Kα (λ = 1.5418 Å)).
Kinematic intensities with the Lorentz-polarization factor, no thermal factor.

Crystal structure
```
data_PtI5
_chemical_formula_sum 'Pt1 I5'
_space_group_name_H-M_alt 'P 1'
_space_group_IT_number 1
_space_group_name_Hall 'P 1'
_cell_length_a 3.9874
_cell_length_b 6.4549
_cell_length_c 9.6580
_cell_angle_alpha 92.18
_cell_angle_beta 90.10
_cell_angle_gamma 90.14
loop_
_atom_site_label
_atom_site_fract_x
_atom_site_fract_y
_atom_site_fract_z
_atom_site_occupancy
Pt1 0.0000 0.0000 0.0000 1
I1 0.9998 0.5280 0.5112 1
I2 0.0019 0.7280 0.2364 1
I3 0.4985 0.7742 0.8870 1
I4 0.5015 0.2288 0.1106 1
I5 0.9979 0.2534 0.7529 1
```

Principal peaks in the range 2θ from 15° to 90°, by angle:
- 2θ = 16.24°, intensity 24, hkl 0 1 -1
- 2θ = 16.82°, intensity 65, hkl 0 1 1
- 2θ = 22.30°, intensity 18, hkl 1 0 0
- 2θ = 28.06°, intensity 100, hkl 1 1 1
- 2θ = 30.58°, intensity 48, hkl 0 1 -3
- 2θ = 32.57°, intensity 18, hkl -1 1 2
- 2θ = 32.81°, intensity 24, hkl 0 2 -2
- 2θ = 40.03°, intensity 23, hkl 1 2 -2
- 2θ = 43.86°, intensity 38, hkl 1 0 4
- 2θ = 45.50°, intensity 20, hkl 2 0 0

4.
Structure and calculated powder diffractogram of SmPuPtI (a structure optimized by DFT (GGA-PBE); Cu Kα (λ = 1.5418 Å)).
Kinematic intensities with the Lorentz-polarization factor, no thermal factor.

Crystal structure
```
data_SmPuPtI
_chemical_formula_sum 'Sm3 Pu3 Pt3 I3'
_space_group_name_H-M_alt 'R 3 m'
_space_group_IT_number 160
_space_group_name_Hall 'R 3 -2"'
_cell_length_a 4.1651
_cell_length_b 4.1651
_cell_length_c 24.2376
_cell_angle_alpha 90.00
_cell_angle_beta 90.00
_cell_angle_gamma 120.00
loop_
_atom_site_label
_atom_site_fract_x
_atom_site_fract_y
_atom_site_fract_z
_atom_site_occupancy
Sm1 0.0000 0.0000 0.0000 1
Pu1 0.0000 0.0000 0.2059 1
Pt1 0.0000 0.0000 0.6027 1
I1 0.0000 0.0000 0.7697 1
```

Principal peaks in the range 2θ from 15° to 90°, by angle:
- 2θ = 25.77°, intensity 34, hkl 0 1 2
- 2θ = 28.80°, intensity 13, hkl 1 0 4
- 2θ = 30.90°, intensity 100, hkl 0 1 5
- 2θ = 35.95°, intensity 23, hkl 1 0 7
- 2θ = 38.82°, intensity 12, hkl 0 1 8
- 2θ = 43.45°, intensity 47, hkl 1 1 0
- 2θ = 44.93°, intensity 12, hkl 0 0 12
- 2θ = 45.06°, intensity 23, hkl 1 0 10
- 2θ = 54.27°, intensity 21, hkl 2 0 5
- 2θ = 71.94°, intensity 18, hkl 1 2 5

5.
Structure and calculated powder diffractogram of Rb6PtI3 (a structure optimized by DFT (GGA-PBE); Cu Kα (λ = 1.5418 Å)).
Kinematic intensities with the Lorentz-polarization factor, no thermal factor.

Crystal structure
```
data_Rb6PtI3
_chemical_formula_sum 'Rb36 Pt6 I18'
_space_group_name_H-M_alt 'R -3 c'
_space_group_IT_number 167
_space_group_name_Hall '-R 3 2"c'
_cell_length_a 14.7387
_cell_length_b 14.7387
_cell_length_c 17.2954
_cell_angle_alpha 90.00
_cell_angle_beta 90.00
_cell_angle_gamma 120.00
loop_
_atom_site_label
_atom_site_fract_x
_atom_site_fract_y
_atom_site_fract_z
_atom_site_occupancy
Rb1 0.0294 0.1901 0.3937 1
Pt1 0.0000 0.0000 0.0000 1
I1 0.0000 0.3712 0.2500 1
```

Principal peaks in the range 2θ from 15° to 90°, by angle:
- 2θ = 20.88°, intensity 29, hkl 3 0 0
- 2θ = 25.69°, intensity 49, hkl 1 3 1
- 2θ = 27.22°, intensity 47, hkl 3 1 2
- 2θ = 27.71°, intensity 46, hkl 2 1 4
- 2θ = 28.75°, intensity 100, hkl 2 2 3
- 2θ = 33.38°, intensity 20, hkl 1 1 6
- 2θ = 37.08°, intensity 25, hkl 3 2 4
- 2θ = 39.69°, intensity 37, hkl 2 2 6
- 2θ = 42.48°, intensity 27, hkl 6 0 0
- 2θ = 54.62°, intensity 23, hkl 3 5 4

6.
Structure and calculated powder diffractogram of Rb3PtI6 (a structure optimized by DFT (GGA-PBE); Cu Kα (λ = 1.5418 Å)).
Kinematic intensities with the Lorentz-polarization factor, no thermal factor.

Crystal structure
```
data_Rb3PtI6
_chemical_formula_sum 'Rb6 Pt2 I12'
_space_group_name_H-M_alt 'I 4/m m m'
_space_group_IT_number 139
_space_group_name_Hall '-I 4 2'
_cell_length_a 8.7806
_cell_length_b 8.7806
_cell_length_c 12.3530
_cell_angle_alpha 90.00
_cell_angle_beta 90.00
_cell_angle_gamma 90.00
loop_
_atom_site_label
_atom_site_fract_x
_atom_site_fract_y
_atom_site_fract_z
_atom_site_occupancy
Rb1 0.0000 0.0000 0.0000 1
Rb2 0.0000 0.5000 0.2500 1
Pt1 0.0000 0.0000 0.5000 1
I1 0.0000 0.0000 0.2784 1
I2 0.2226 0.2226 0.5000 1
```

Principal peaks in the range 2θ from 15° to 90°, by angle:
- 2θ = 20.26°, intensity 28, hkl 1 1 2
- 2θ = 24.88°, intensity 81, hkl 2 0 2
- 2θ = 28.76°, intensity 100, hkl 2 2 0
- 2θ = 28.91°, intensity 49, hkl 0 0 4
- 2θ = 32.26°, intensity 22, hkl 2 2 2
- 2θ = 37.66°, intensity 27, hkl 3 2 1
- 2θ = 41.12°, intensity 34, hkl 4 0 0
- 2θ = 41.23°, intensity 67, hkl 2 2 4
- 2θ = 51.05°, intensity 32, hkl 4 0 4
- 2θ = 67.50°, intensity 23, hkl 6 2 0

7.
Structure and calculated powder diffractogram of Rb2PtI4 (a structure optimized by DFT (GGA-PBE); Cu Kα (λ = 1.5418 Å)).
Kinematic intensities with the Lorentz-polarization factor, no thermal factor.

Crystal structure
```
data_Rb2PtI4
_chemical_formula_sum 'Rb4 Pt2 I8'
_space_group_name_H-M_alt 'I 4/m m m'
_space_group_IT_number 139
_space_group_name_Hall '-I 4 2'
_cell_length_a 8.2656
_cell_length_b 8.2656
_cell_length_c 9.8866
_cell_angle_alpha 90.00
_cell_angle_beta 90.00
_cell_angle_gamma 90.00
loop_
_atom_site_label
_atom_site_fract_x
_atom_site_fract_y
_atom_site_fract_z
_atom_site_occupancy
Rb1 0.0000 0.5000 0.2500 1
Pt1 0.0000 0.0000 0.0000 1
I1 0.2261 0.2261 0.0000 1
```

Principal peaks in the range 2θ from 15° to 90°, by angle:
- 2θ = 17.94°, intensity 74, hkl 0 0 2
- 2θ = 23.57°, intensity 81, hkl 1 1 2
- 2θ = 28.14°, intensity 79, hkl 2 0 2
- 2θ = 30.59°, intensity 100, hkl 2 2 0
- 2θ = 35.69°, intensity 44, hkl 2 2 2
- 2θ = 36.35°, intensity 35, hkl 0 0 4
- 2θ = 38.98°, intensity 34, hkl 3 1 2
- 2θ = 40.39°, intensity 44, hkl 3 2 1
- 2θ = 48.22°, intensity 56, hkl 2 2 4
- 2θ = 58.19°, intensity 35, hkl 4 0 4

8.
Structure and calculated powder diffractogram of Rb2PtI7 (a structure optimized by DFT (GGA-PBE); Cu Kα (λ = 1.5418 Å)).
Kinematic intensities with the Lorentz-polarization factor, no thermal factor.

Crystal structure
```
data_Rb2PtI7
_chemical_formula_sum 'Rb4 Pt2 I14'
_space_group_name_H-M_alt 'I 4/m m m'
_space_group_IT_number 139
_space_group_name_Hall '-I 4 2'
_cell_length_a 8.4152
_cell_length_b 8.4152
_cell_length_c 12.5760
_cell_angle_alpha 90.00
_cell_angle_beta 90.00
_cell_angle_gamma 90.00
loop_
_atom_site_label
_atom_site_fract_x
_atom_site_fract_y
_atom_site_fract_z
_atom_site_occupancy
Rb1 0.0000 0.5000 0.2500 1
Pt1 0.0000 0.0000 0.0000 1
I1 0.0000 0.0000 0.2140 1
I2 0.0000 0.0000 0.5000 1
I3 0.2315 0.2315 0.0000 1
```

Principal peaks in the range 2θ from 15° to 90°, by angle:
- 2θ = 20.55°, intensity 25, hkl 1 1 2
- 2θ = 25.47°, intensity 68, hkl 2 0 2
- 2θ = 28.39°, intensity 52, hkl 0 0 4
- 2θ = 30.04°, intensity 100, hkl 2 2 0
- 2θ = 41.80°, intensity 68, hkl 2 2 4
- 2θ = 42.99°, intensity 35, hkl 4 0 0
- 2θ = 50.64°, intensity 16, hkl 4 2 2
- 2θ = 52.32°, intensity 34, hkl 4 0 4
- 2θ = 53.53°, intensity 20, hkl 2 2 6
- 2θ = 77.97°, intensity 18, hkl 6 2 4

9.
Structure and calculated powder diffractogram of Rb2RePtI6 (a structure optimized by DFT (GGA-PBE); Cu Kα (λ = 1.5418 Å)).
Kinematic intensities with the Lorentz-polarization factor, no thermal factor.

Crystal structure
```
data_Rb2RePtI6
_chemical_formula_sum 'Rb4 Re2 Pt2 I12'
_space_group_name_H-M_alt 'I 4/m m m'
_space_group_IT_number 139
_space_group_name_Hall '-I 4 2'
_cell_length_a 8.0110
_cell_length_b 8.0110
_cell_length_c 11.6200
_cell_angle_alpha 90.00
_cell_angle_beta 90.00
_cell_angle_gamma 90.00
loop_
_atom_site_label
_atom_site_fract_x
_atom_site_fract_y
_atom_site_fract_z
_atom_site_occupancy
Rb1 0.0000 0.5000 0.2500 1
Re1 0.0000 0.0000 0.0000 1
Pt1 0.0000 0.0000 0.5000 1
I1 0.0000 0.0000 0.2409 1
I2 0.2502 0.2502 0.0000 1
```

Principal peaks in the range 2θ from 15° to 90°, by angle:
- 2θ = 15.25°, intensity 35, hkl 0 0 2
- 2θ = 15.64°, intensity 65, hkl 1 1 0
- 2θ = 21.91°, intensity 26, hkl 1 1 2
- 2θ = 27.04°, intensity 54, hkl 2 0 2
- 2θ = 30.78°, intensity 53, hkl 0 0 4
- 2θ = 31.59°, intensity 100, hkl 2 2 0
- 2θ = 44.69°, intensity 75, hkl 2 2 4
- 2θ = 45.28°, intensity 37, hkl 4 0 0
- 2θ = 55.75°, intensity 39, hkl 4 0 4
- 2θ = 83.21°, intensity 25, hkl 6 2 4

10.
Structure and calculated powder diffractogram of SbTePtI2 (a structure optimized by DFT (GGA-PBE); Cu Kα (λ = 1.5418 Å)).
Kinematic intensities with the Lorentz-polarization factor, no thermal factor.

Crystal structure
```
data_SbTePtI2
_chemical_formula_sum 'Sb1 Te1 Pt1 I2'
_space_group_name_H-M_alt 'P 4/m m m'
_space_group_IT_number 123
_space_group_name_Hall '-P 4 2'
_cell_length_a 5.3926
_cell_length_b 5.3926
_cell_length_c 5.4060
_cell_angle_alpha 90.00
_cell_angle_beta 90.00
_cell_angle_gamma 90.00
loop_
_atom_site_label
_atom_site_fract_x
_atom_site_fract_y
_atom_site_fract_z
_atom_site_occupancy
Sb1 0.0000 0.0000 0.0000 1
Te1 0.5000 0.5000 0.0000 1
Pt1 0.5000 0.5000 0.5000 1
I1 0.0000 0.5000 0.5000 1
```

Principal peaks in the range 2θ from 15° to 90°, by angle:
- 2θ = 16.42°, intensity 44, hkl 0 0 1
- 2θ = 23.31°, intensity 36, hkl 1 0 1
- 2θ = 28.65°, intensity 39, hkl 1 1 1
- 2θ = 33.20°, intensity 100, hkl 2 0 0
- 2θ = 37.25°, intensity 24, hkl 2 0 1
- 2θ = 40.96°, intensity 17, hkl 2 1 1
- 2θ = 47.66°, intensity 72, hkl 2 2 0
- 2θ = 59.32°, intensity 25, hkl 2 2 2
- 2θ = 79.46°, intensity 22, hkl 4 2 0
- 2θ = 88.87°, intensity 17, hkl 4 2 2

11.
Structure and calculated powder diffractogram of ZnSiPt2I (a structure optimized by DFT (GGA-PBE); Cu Kα (λ = 1.5418 Å)).
Kinematic intensities with the Lorentz-polarization factor, no thermal factor.

Crystal structure
```
data_ZnSiPt2I
_chemical_formula_sum 'Zn1 Si1 Pt2 I1'
_space_group_name_H-M_alt 'P 4/m m m'
_space_group_IT_number 123
_space_group_name_Hall '-P 4 2'
_cell_length_a 4.4485
_cell_length_b 4.4485
_cell_length_c 6.5255
_cell_angle_alpha 90.00
_cell_angle_beta 90.00
_cell_angle_gamma 90.00
loop_
_atom_site_label
_atom_site_fract_x
_atom_site_fract_y
_atom_site_fract_z
_atom_site_occupancy
Zn1 0.0000 0.0000 0.0000 1
Si1 0.5000 0.5000 0.5000 1
Pt1 0.0000 0.5000 0.5000 1
I1 0.5000 0.5000 0.0000 1
```

Principal peaks in the range 2θ from 15° to 90°, by angle:
- 2θ = 27.33°, intensity 44, hkl 0 0 2
- 2θ = 31.57°, intensity 100, hkl 1 1 1
- 2θ = 40.56°, intensity 31, hkl 2 0 0
- 2θ = 49.60°, intensity 35, hkl 2 0 2
- 2θ = 51.05°, intensity 26, hkl 1 1 3
- 2θ = 58.70°, intensity 10, hkl 2 2 0
- 2θ = 65.93°, intensity 15, hkl 2 2 2
- 2θ = 68.20°, intensity 22, hkl 3 1 1
- 2θ = 71.75°, intensity 11, hkl 2 0 4
- 2θ = 81.48°, intensity 14, hkl 3 1 3

12.
Structure and calculated powder diffractogram of Sm3PtI3 (a structure optimized by DFT (GGA-PBE); Cu Kα (λ = 1.5418 Å)).
Kinematic intensities with the Lorentz-polarization factor, no thermal factor.

Crystal structure
```
data_Sm3PtI3
_chemical_formula_sum 'Sm6 Pt2 I6'
_space_group_name_H-M_alt 'P 1 21/m 1'
_space_group_IT_number 11
_space_group_name_Hall '-P 2yb'
_cell_length_a 9.3142
_cell_length_b 4.2016
_cell_length_c 12.6352
_cell_angle_alpha 90.00
_cell_angle_beta 91.02
_cell_angle_gamma 90.00
loop_
_atom_site_label
_atom_site_fract_x
_atom_site_fract_y
_atom_site_fract_z
_atom_site_occupancy
Sm1 0.0909 0.2500 0.3879 1
Sm2 0.1185 0.2500 0.8450 1
Sm3 0.3159 0.7500 0.6212 1
Pt1 0.1154 0.2500 0.6230 1
I1 0.1370 0.2500 0.1129 1
I2 0.3759 0.7500 0.8756 1
I3 0.3866 0.7500 0.3687 1
```

Principal peaks in the range 2θ from 15° to 90°, by angle:
- 2θ = 28.26°, intensity 53, hkl 0 0 4
- 2θ = 28.62°, intensity 100, hkl 2 1 0
- 2θ = 38.67°, intensity 16, hkl 4 0 0
- 2θ = 40.40°, intensity 35, hkl 2 1 -4
- 2θ = 40.91°, intensity 35, hkl 2 1 4
- 2θ = 43.06°, intensity 19, hkl 0 2 0
- 2θ = 46.68°, intensity 7, hkl 3 1 4
- 2θ = 52.30°, intensity 19, hkl 0 2 4
- 2θ = 59.24°, intensity 9, hkl 4 2 0
- 2θ = 70.18°, intensity 8, hkl 2 3 0

Which formula does entry 2 have? PtI